Simulated PXRD pattern
Compound: NaPrMgNbO6
Radiation: CuKα
Structure: a structure optimized by DFT (PBE)
Neutral-atom scattering factors, no anomalous dispersion.

Largest 10 diffraction maxima, sorted by position, 10° ≤ 2θ ≤ 90°:
2θ (°), intensity, (hkl)
19.23, 67, 1 1 1
31.66, 100, 2 2 0
37.31, 37, 3 1 1
45.39, 41, 4 0 0
49.72, 16, 3 3 1
56.39, 40, 4 2 2
60.15, 12, 5 1 1
66.13, 24, 4 4 0
69.58, 12, 5 3 1
75.18, 17, 6 2 0

Structural model:
```
data_NaPrMgNbO6
_symmetry_space_group_name_H-M 'F -4 3 m'
_symmetry_Int_Tables_number 216
_symmetry_space_group_name_Hall 'F -4 2 3'
_cell_length_a 7.993
_cell_length_b 7.993
_cell_length_c 7.993
_cell_angle_alpha 90.00
_cell_angle_beta 90.00
_cell_angle_gamma 90.00
loop_
_atom_site_label
_atom_site_type_symbol
_atom_site_fract_x
_atom_site_fract_y
_atom_site_fract_z
Na1 Na 0.000 0.000 0.000
Pr1 Pr 0.000 0.000 0.500
Mg1 Mg 0.250 0.250 0.750
Nb1 Nb 0.250 0.250 0.250
O1 O 0.001 0.250 0.250
```